1.
Diffraction record for Ni4B2Rh. The powder X-ray diffraction pattern is calculated, not measured: it uses a cell relaxed with GGA-PBE and Cu Ka.
Intensities are scaled so that the largest is 100.

Principal peaks in the range 15° ≤ 2θ ≤ 90°, in order of falling intensity:
d = 2.005 Å, 45.2 deg, intensity 100
d = 2.076 Å, 43.6 deg, intensity 74
d = 2.210 Å, 40.8 deg, intensity 51
d = 2.489 Å, 36.1 deg, intensity 30
d = 2.289 Å, 39.4 deg, intensity 25
d = 1.652 Å, 55.6 deg, intensity 22
d = 1.146 Å, 84.6 deg, intensity 19
d = 1.118 Å, 87.2 deg, intensity 17

Structural model:
Unit cell a=6.8546 b=6.8546 c=6.8546 alpha=132.74 beta=61.91 gamma=142.39
Atoms (fractional coordinates):
1 Ni 0.0255 0.2794 0.2461
2 Ni 0.0334 0.7794 0.7539
3 Ni 0.1827 0.0134 0.1960
4 Ni 0.1827 0.4866 0.6693
5 Ni 0.4107 0.7714 0.1393
6 Ni 0.6321 0.2714 0.8607
7 Ni 0.8173 0.5134 0.3307
8 Ni 0.8173 0.9866 0.8040
9 B 0.0106 0.5049 0.0056
10 B 0.4993 0.0049 0.9944
11 B 0.7061 0.2061 0.5000
12 B 0.7061 0.7061 0.0000
13 Rh 0.3929 0.2574 0.6355
14 Rh 0.6220 0.7574 0.3645

---

2.
Diffraction record for BaLiCuF6. The powder X-ray diffraction pattern is calculated, not measured: it uses a cell relaxed with GGA-PBE and Cu Ka.
Intensities are scaled so that the largest is 100.

Principal peaks in the range 15° ≤ 2θ ≤ 90°, in order of falling intensity:
d = 3.545 Å, 25.1 deg, intensity 100
d = 1.922 Å, 47.3 deg, intensity 33
d = 4.590 Å, 19.3 deg, intensity 26
d = 1.657 Å, 55.5 deg, intensity 21
d = 2.122 Å, 42.6 deg, intensity 19
d = 2.650 Å, 33.8 deg, intensity 16
d = 2.385 Å, 37.7 deg, intensity 14
d = 2.394 Å, 37.6 deg, intensity 13

Structural model:
Unit cell a=5.2998 b=5.2998 c=5.5815 alpha=90.00 beta=90.00 gamma=120.00
Atoms (fractional coordinates):
1 Ba 0.0000 0.0000 0.0000
2 Li 0.6667 0.3333 0.5000
3 Cu 0.3333 0.6667 0.5000
4 F 0.0178 0.3895 0.6995
5 F 0.0178 0.6282 0.3005
6 F 0.3718 0.3895 0.3005
7 F 0.3718 0.9822 0.6995
8 F 0.6105 0.6282 0.6995
9 F 0.6105 0.9822 0.3005

---

3.
Diffraction record for Rb2Hf3AgO8. The powder X-ray diffraction pattern is calculated, not measured: it uses a cell relaxed with GGA-PBE and Cu Ka.
Intensities are scaled so that the largest is 100.

Principal peaks in the range 15° ≤ 2θ ≤ 90°, in order of falling intensity:
d = 2.478 Å, 36.2 deg, intensity 100
d = 2.795 Å, 32.0 deg, intensity 86
d = 2.722 Å, 32.9 deg, intensity 81
d = 3.459 Å, 25.8 deg, intensity 79
d = 2.044 Å, 44.3 deg, intensity 56
d = 1.910 Å, 47.6 deg, intensity 46
d = 1.628 Å, 56.5 deg, intensity 42
d = 1.473 Å, 63.1 deg, intensity 40

Structural model:
Unit cell a=7.8748 b=7.8748 c=7.8748 alpha=48.86 beta=48.86 gamma=48.86
Atoms (fractional coordinates):
1 Rb 0.0000 0.0000 0.0000
2 Rb 0.3536 0.3536 0.3536
3 Hf 0.9996 0.9996 0.5011
4 Hf 0.9996 0.5011 0.9996
5 Hf 0.5011 0.9996 0.9996
6 Ag 0.5147 0.5147 0.5147
7 O 0.1803 0.7414 0.7414
8 O 0.2179 0.2179 0.2179
9 O 0.2687 0.2687 0.8108
10 O 0.2687 0.8108 0.2687
11 O 0.7414 0.1803 0.7414
12 O 0.7414 0.7414 0.1803
13 O 0.7828 0.7828 0.7828
14 O 0.8108 0.2687 0.2687

---

4.
Diffraction record for La5NdGa2. The powder X-ray diffraction pattern is calculated, not measured: it uses a cell relaxed with GGA-PBE and Cu Ka.
Intensities are scaled so that the largest is 100.

Principal peaks in the range 15° ≤ 2θ ≤ 90°, in order of falling intensity:
d = 2.746 Å, 32.6 deg, intensity 100
d = 1.586 Å, 58.2 deg, intensity 26
d = 3.458 Å, 25.8 deg, intensity 25
d = 1.941 Å, 46.8 deg, intensity 13
d = 1.624 Å, 56.7 deg, intensity 12
d = 3.074 Å, 29.1 deg, intensity 9
d = 1.374 Å, 68.3 deg, intensity 7
d = 2.461 Å, 36.5 deg, intensity 7

Structural model:
Unit cell a=5.4960 b=5.4960 c=20.1294 alpha=90.00 beta=90.00 gamma=120.00
Atoms (fractional coordinates):
1 La 0.0000 0.0000 0.1520
2 La 0.0000 0.0000 0.3480
3 La 0.0000 0.0000 0.6520
4 La 0.0000 0.0000 0.8480
5 La 0.3333 0.6667 0.0570
6 La 0.3333 0.6667 0.2500
7 La 0.3333 0.6667 0.4430
8 La 0.6667 0.3333 0.5570
9 La 0.6667 0.3333 0.7500
10 La 0.6667 0.3333 0.9430
11 Nd 0.3333 0.6667 0.7500
12 Nd 0.6667 0.3333 0.2500
13 Ga 0.3333 0.6667 0.5977
14 Ga 0.3333 0.6667 0.9023
15 Ga 0.6667 0.3333 0.0977
16 Ga 0.6667 0.3333 0.4023

---

5.
Diffraction record for LaPm2Sm4. The powder X-ray diffraction pattern is calculated, not measured: it uses a cell relaxed with GGA-PBE and Cu Ka.
Intensities are scaled so that the largest is 100.

Principal peaks in the range 15° ≤ 2θ ≤ 90°, in order of falling intensity:
d = 2.852 Å, 31.4 deg, intensity 100
d = 2.318 Å, 38.8 deg, intensity 64
d = 3.154 Å, 28.3 deg, intensity 63
d = 3.276 Å, 27.2 deg, intensity 63
d = 2.690 Å, 33.3 deg, intensity 49
d = 1.808 Å, 50.5 deg, intensity 33
d = 2.890 Å, 30.9 deg, intensity 32
d = 1.891 Å, 48.1 deg, intensity 30

Structural model:
Unit cell a=12.0173 b=12.0173 c=12.0173 alpha=157.76 beta=157.76 gamma=31.66
Atoms (fractional coordinates):
1 La 0.0000 0.0000 0.0000
2 Pm 0.3997 0.3997 0.0000
3 Pm 0.6003 0.6003 0.0000
4 Sm 0.1391 0.1391 0.0000
5 Sm 0.2500 0.7500 0.5000
6 Sm 0.7500 0.2500 0.5000
7 Sm 0.8609 0.8609 0.0000

---

6.
Diffraction record for TcIrPt6. The powder X-ray diffraction pattern is calculated, not measured: it uses a cell relaxed with GGA-PBE and Cu Ka.
Intensities are scaled so that the largest is 100.

Principal peaks in the range 15° ≤ 2θ ≤ 90°, in order of falling intensity:
d = 2.276 Å, 39.6 deg, intensity 100
d = 1.973 Å, 46.0 deg, intensity 33
d = 1.190 Å, 80.8 deg, intensity 26
d = 1.393 Å, 67.2 deg, intensity 21
d = 1.967 Å, 46.2 deg, intensity 16
d = 1.187 Å, 81.0 deg, intensity 13
d = 1.138 Å, 85.3 deg, intensity 11
d = 1.395 Å, 67.1 deg, intensity 11

Structural model:
Unit cell a=4.8314 b=4.8314 c=7.8922 alpha=114.12 beta=114.12 gamma=48.04
Atoms (fractional coordinates):
1 Tc 0.0000 0.0000 0.0000
2 Ir 0.0000 0.0000 0.5000
3 Pt 0.2501 0.2501 0.8767
4 Pt 0.2512 0.2512 0.3736
5 Pt 0.4984 0.4984 0.7544
6 Pt 0.5016 0.5016 0.2456
7 Pt 0.7488 0.7488 0.6264
8 Pt 0.7499 0.7499 0.1233

---

7.
Diffraction record for Cs5Li2Cl6. The powder X-ray diffraction pattern is calculated, not measured: it uses a cell relaxed with GGA-PBE and Cu Ka.
Intensities are scaled so that the largest is 100.

Principal peaks in the range 15° ≤ 2θ ≤ 90°, in order of falling intensity:
d = 3.069 Å, 29.1 deg, intensity 100
d = 4.637 Å, 19.1 deg, intensity 98
d = 4.605 Å, 19.3 deg, intensity 82
d = 5.494 Å, 16.1 deg, intensity 75
d = 3.268 Å, 27.3 deg, intensity 74
d = 3.215 Å, 27.7 deg, intensity 63
d = 2.799 Å, 32.0 deg, intensity 53
d = 3.142 Å, 28.4 deg, intensity 52

Structural model:
Unit cell a=14.3455 b=17.0880 c=4.6374 alpha=90.00 beta=90.00 gamma=90.00
Atoms (fractional coordinates):
1 Cs 0.0000 0.0000 0.0000
2 Cs 0.1242 0.4493 0.0000
3 Cs 0.1972 0.7089 0.0000
4 Cs 0.3028 0.2089 0.0000
5 Cs 0.3758 0.9493 0.0000
6 Cs 0.5000 0.5000 0.0000
7 Cs 0.6242 0.0507 0.0000
8 Cs 0.6972 0.7911 0.0000
9 Cs 0.8028 0.2911 0.0000
10 Cs 0.8758 0.5507 0.0000
11 Li 0.0507 0.2728 0.5000
12 Li 0.4493 0.7728 0.5000
13 Li 0.5507 0.2272 0.5000
14 Li 0.9493 0.7272 0.5000
15 Cl 0.0332 0.2137 0.0000
16 Cl 0.0541 0.6111 0.5000
17 Cl 0.2059 0.3260 0.5000
18 Cl 0.2941 0.8260 0.5000
19 Cl 0.4459 0.1111 0.5000
20 Cl 0.4668 0.7137 0.0000
21 Cl 0.5332 0.2863 0.0000
22 Cl 0.5541 0.8889 0.5000
23 Cl 0.7059 0.1740 0.5000
24 Cl 0.7941 0.6740 0.5000
25 Cl 0.9459 0.3889 0.5000
26 Cl 0.9668 0.7863 0.0000

---

8.
Diffraction record for Ac4AlSn. The powder X-ray diffraction pattern is calculated, not measured: it uses a cell relaxed with GGA-PBE and Cu Ka.
Intensities are scaled so that the largest is 100.

Principal peaks in the range 15° ≤ 2θ ≤ 90°, in order of falling intensity:
d = 3.933 Å, 22.6 deg, intensity 100
d = 2.808 Å, 31.9 deg, intensity 86
d = 2.755 Å, 32.5 deg, intensity 78
d = 1.611 Å, 57.2 deg, intensity 32
d = 1.967 Å, 46.2 deg, intensity 30
d = 2.285 Å, 39.4 deg, intensity 24
d = 1.772 Å, 51.6 deg, intensity 23
d = 1.746 Å, 52.4 deg, intensity 19

Structural model:
Unit cell a=5.6156 b=5.6156 c=9.4928 alpha=107.28 beta=107.28 gamma=60.01
Atoms (fractional coordinates):
1 Ac 0.1227 0.1227 0.3686
2 Ac 0.3689 0.3689 0.1061
3 Ac 0.6311 0.6311 0.8939
4 Ac 0.8773 0.8773 0.6314
5 Al 0.0000 0.0000 0.0000
6 Sn 0.5000 0.5000 0.5000

---

9.
Diffraction record for TlHAu. The powder X-ray diffraction pattern is calculated, not measured: it uses a cell relaxed with GGA-PBE and Cu Ka.
Intensities are scaled so that the largest is 100.

Principal peaks in the range 15° ≤ 2θ ≤ 90°, in order of falling intensity:
d = 2.934 Å, 30.5 deg, intensity 100
d = 2.479 Å, 36.2 deg, intensity 92
d = 2.267 Å, 39.8 deg, intensity 70
d = 2.235 Å, 40.4 deg, intensity 69
d = 3.056 Å, 29.2 deg, intensity 56
d = 3.738 Å, 23.8 deg, intensity 45
d = 3.687 Å, 24.1 deg, intensity 44
d = 3.327 Å, 26.8 deg, intensity 33

Structural model:
Unit cell a=5.9350 b=7.3749 c=5.5246 alpha=90.00 beta=98.64 gamma=90.00
Atoms (fractional coordinates):
1 Tl 0.2491 0.1259 0.2507
2 Tl 0.2491 0.3741 0.7507
3 Tl 0.7509 0.6259 0.2493
4 Tl 0.7509 0.8741 0.7493
5 H 0.2511 0.5973 0.2509
6 H 0.2511 0.9027 0.7509
7 H 0.7489 0.0973 0.2491
8 H 0.7489 0.4027 0.7491
9 Au 0.2504 0.7501 0.0009
10 Au 0.2504 0.7499 0.5009
11 Au 0.7496 0.2501 0.4991
12 Au 0.7496 0.2499 0.9991

---

10.
Diffraction record for Bi3IrBr. The powder X-ray diffraction pattern is calculated, not measured: it uses a cell relaxed with GGA-PBE and Cu Ka.
Intensities are scaled so that the largest is 100.

Principal peaks in the range 15° ≤ 2θ ≤ 90°, in order of falling intensity:
d = 3.030 Å, 29.5 deg, intensity 100
d = 2.955 Å, 30.2 deg, intensity 47
d = 2.652 Å, 33.8 deg, intensity 28
d = 2.831 Å, 31.6 deg, intensity 23
d = 5.811 Å, 15.2 deg, intensity 21
d = 2.665 Å, 33.6 deg, intensity 21
d = 2.373 Å, 37.9 deg, intensity 21
d = 2.691 Å, 33.3 deg, intensity 21

Structural model:
Unit cell a=9.8786 b=9.8786 c=6.5564 alpha=95.13 beta=95.13 gamma=106.98
Atoms (fractional coordinates):
1 Bi 0.1250 0.7193 0.9806
2 Bi 0.2181 0.5350 0.3621
3 Bi 0.2589 0.4092 0.8976
4 Bi 0.2807 0.8750 0.5194
5 Bi 0.4092 0.2589 0.3976
6 Bi 0.4650 0.7819 0.1379
7 Bi 0.5350 0.2181 0.8621
8 Bi 0.5908 0.7411 0.6024
9 Bi 0.7193 0.1250 0.4806
10 Bi 0.7411 0.5908 0.1024
11 Bi 0.7819 0.4650 0.6379
12 Bi 0.8750 0.2807 0.0194
13 Ir 0.3284 0.6716 0.7500
14 Ir 0.4831 0.5169 0.2500
15 Ir 0.5169 0.4831 0.7500
16 Ir 0.6716 0.3284 0.2500
17 Br 0.0463 0.2213 0.4685
18 Br 0.2213 0.0463 0.9685
19 Br 0.7787 0.9537 0.0315
20 Br 0.9537 0.7787 0.5315

---

11.
Diffraction record for Sr2AlZn7. The powder X-ray diffraction pattern is calculated, not measured: it uses a cell relaxed with GGA-PBE and Cu Ka.
Intensities are scaled so that the largest is 100.

Principal peaks in the range 15° ≤ 2θ ≤ 90°, in order of falling intensity:
d = 2.683 Å, 33.4 deg, intensity 100
d = 2.796 Å, 32.0 deg, intensity 72
d = 2.177 Å, 41.5 deg, intensity 69
d = 1.956 Å, 46.4 deg, intensity 35
d = 1.718 Å, 53.3 deg, intensity 33
d = 2.045 Å, 44.3 deg, intensity 27
d = 1.455 Å, 64.0 deg, intensity 26
d = 1.539 Å, 60.1 deg, intensity 22

Structural model:
Unit cell a=4.3538 b=4.3538 c=10.9453 alpha=90.00 beta=90.00 gamma=90.00
Atoms (fractional coordinates):
1 Sr 0.0000 0.5000 0.2489
2 Sr 0.5000 0.0000 0.7511
3 Al 0.0000 0.0000 0.5000
4 Zn 0.0000 0.0000 0.0000
5 Zn 0.0000 0.5000 0.6324
6 Zn 0.0000 0.5000 0.8688
7 Zn 0.5000 0.0000 0.1312
8 Zn 0.5000 0.0000 0.3676
9 Zn 0.5000 0.5000 0.0000
10 Zn 0.5000 0.5000 0.5000

---

12.
Diffraction record for YTl2InSe4. The powder X-ray diffraction pattern is calculated, not measured: it uses a cell relaxed with GGA-PBE and Cu Ka.
Intensities are scaled so that the largest is 100.

Principal peaks in the range 15° ≤ 2θ ≤ 90°, in order of falling intensity:
d = 3.047 Å, 29.3 deg, intensity 100
d = 2.168 Å, 41.7 deg, intensity 74
d = 3.084 Å, 29.0 deg, intensity 52
d = 3.533 Å, 25.2 deg, intensity 32
d = 1.366 Å, 68.7 deg, intensity 22
d = 1.769 Å, 51.7 deg, intensity 19
d = 1.763 Å, 51.9 deg, intensity 19
d = 2.160 Å, 41.8 deg, intensity 18

Structural model:
Unit cell a=8.6712 b=8.6712 c=8.6712 alpha=120.58 beta=120.23 gamma=89.31
Atoms (fractional coordinates):
1 Y 0.5000 0.0000 0.0000
2 Y 0.5000 0.5000 0.5000
3 Tl 0.0000 0.0000 0.0000
4 Tl 0.0000 0.0000 0.5000
5 Tl 0.0000 0.5000 0.0000
6 Tl 0.5000 0.0000 0.5000
7 In 0.0000 0.5000 0.5000
8 In 0.5000 0.5000 0.0000
9 Se 0.2623 0.2928 0.5305
10 Se 0.2623 0.7319 0.9695
11 Se 0.2619 0.7357 0.5263
12 Se 0.2906 0.2643 0.0263
13 Se 0.7094 0.7357 0.9737
14 Se 0.7381 0.2643 0.4737
15 Se 0.7377 0.2681 0.0305
16 Se 0.7377 0.7072 0.4695

---

13.
Diffraction record for CsCuSnSe2. The powder X-ray diffraction pattern is calculated, not measured: it uses a cell relaxed with GGA-PBE and Cu Ka.
Intensities are scaled so that the largest is 100.

Principal peaks in the range 15° ≤ 2θ ≤ 90°, in order of falling intensity:
d = 3.485 Å, 25.6 deg, intensity 100
d = 2.775 Å, 32.3 deg, intensity 33
d = 2.936 Å, 30.4 deg, intensity 32
d = 2.322 Å, 38.8 deg, intensity 27
d = 2.106 Å, 42.9 deg, intensity 24
d = 3.739 Å, 23.8 deg, intensity 24
d = 2.614 Å, 34.3 deg, intensity 22
d = 1.969 Å, 46.1 deg, intensity 22

Structural model:
Unit cell a=8.7476 b=8.7476 c=5.9257 alpha=90.00 beta=90.00 gamma=129.40
Atoms (fractional coordinates):
1 Cs 0.2500 0.7500 0.7520
2 Cs 0.7500 0.2500 0.2480
3 Cu 0.0000 0.0000 0.0000
4 Cu 0.5000 0.5000 0.0000
5 Sn 0.2500 0.2500 0.5000
6 Sn 0.7500 0.7500 0.5000
7 Se 0.1116 0.8884 0.2443
8 Se 0.3884 0.6116 0.2443
9 Se 0.6116 0.3884 0.7557
10 Se 0.8884 0.1116 0.7557